Starting from a structure optimized by DFT (GGA-PBE), the powder X-ray diffraction pattern of CdOsPt was simulated for Cu Kα (λ = 1.5418 Å).

The 10 most intense peaks (15 to 90 degrees two-theta), sorted by position:
37.03 deg, I 34, (0 0 6)
37.14 deg, I 34, (0 2 0)
41.47 deg, I 100, (1 1 3)
48.72 deg, I 4, (1 1 5)
53.46 deg, I 24, (0 2 6)
66.30 deg, I 6, (2 0 0)
69.76 deg, I 21, (1 1 9)
69.90 deg, I 21, (1 3 3)
78.48 deg, I 15, (2 2 0)
79.13 deg, I 4, (0 4 0)

Atomic structure:
Cell: 2.8196 4.8411 14.5655 Å, 90.00 90.00 90.00°
Space group Fmm2 (No. 42)
Inequivalent atoms, fractional coordinates:
Cd 0.0000 0.0000 0.0000 [4 per cell]
Os 0.0000 0.0000 0.3285 [4 per cell]
Pt 0.0000 0.0000 0.6703 [4 per cell]